For Li3Mn2P3O12, the GGA+U geometry in Alexandria gives the calculated powder diffraction line list in this record (Cu Kα (weighted mean of Kα1 and Kα2)).

Cell lengths 11.443, 13.257, 6.227 Å; angles 90.00, 113.81, 90.00 degrees
Space group C2/c (No. 15)
Asymmetric unit:
Li1 0.000 0.000 0.000 x4
Li2 0.000 0.199 0.250 x4
Li3 0.000 0.474 0.250 x4
Mn1 0.209 0.344 0.122 x8
P1 0.000 0.207 0.750 x4
P2 0.233 0.403 0.632 x8
O1 0.045 0.272 0.978 x8
O2 0.104 0.135 0.734 x8
O3 0.126 0.076 0.294 x8
O4 0.147 0.498 0.593 x8
O5 0.174 0.341 0.398 x8
O6 0.215 0.331 0.818 x8

The 10 most intense peaks (2θ = 10–90°), by angle:
h k l, two_theta, I (rel.)
0 2 0, 13.4, 31
1 1 -1, 15.9, 47
2 0 0, 16.9, 100
1 3 -1, 24.8, 40
3 1 0, 26.4, 34
0 4 0, 26.9, 26
1 1 -2, 29.8, 71
0 4 1, 31.2, 38
2 4 0, 32.0, 66
3 3 0, 32.7, 26